(1)
Theoretical X-ray diffraction stick pattern of NaCeTiNbO6F for Cu Kα, 1.54184 Å, from a cell relaxed with PBE.

Atomic structure:
Lattice parameters (Å, degrees): 7.3820 7.3820 10.4811 90.00 90.00 90.00
Fractional coordinates of all 44 atoms:
1 Na 0.0000 0.2175 0.0000
2 Na 0.0000 0.7825 0.5000
3 Na 0.2175 0.0000 0.7500
4 Na 0.7825 0.0000 0.2500
5 Ce 0.2277 0.5000 0.7500
6 Ce 0.5000 0.2277 0.0000
7 Ce 0.5000 0.7723 0.5000
8 Ce 0.7723 0.5000 0.2500
9 Ti 0.2644 0.5000 0.2500
10 Ti 0.5000 0.2644 0.5000
11 Ti 0.5000 0.7356 0.0000
12 Ti 0.7356 0.5000 0.7500
13 Nb 0.0000 0.2586 0.5000
14 Nb 0.0000 0.7414 0.0000
15 Nb 0.2586 0.0000 0.2500
16 Nb 0.7414 0.0000 0.7500
17 O 0.0563 0.4482 0.3673
18 O 0.0563 0.5518 0.1327
19 O 0.0633 0.0633 0.3750
20 O 0.0633 0.9367 0.1250
21 O 0.2513 0.2739 0.5723
22 O 0.2513 0.7261 0.9277
23 O 0.2739 0.2513 0.1777
24 O 0.2739 0.7487 0.3223
25 O 0.4482 0.0563 0.3827
26 O 0.4482 0.9437 0.1173
27 O 0.4592 0.4592 0.3750
28 O 0.4592 0.5408 0.1250
29 O 0.5408 0.4592 0.6250
30 O 0.5408 0.5408 0.8750
31 O 0.5518 0.0563 0.6173
32 O 0.5518 0.9437 0.8827
33 O 0.7261 0.2513 0.8223
34 O 0.7261 0.7487 0.6777
35 O 0.7487 0.2739 0.4277
36 O 0.7487 0.7261 0.0723
37 O 0.9367 0.0633 0.6250
38 O 0.9367 0.9367 0.8750
39 O 0.9437 0.4482 0.6327
40 O 0.9437 0.5518 0.8673
41 F 0.2380 0.2380 0.8750
42 F 0.2380 0.7620 0.6250
43 F 0.7620 0.2380 0.1250
44 F 0.7620 0.7620 0.3750

Most intense lines, 2θ = 10–90°, by angle:
| 2θ (°) | d_spacing | I (rel.) |
| --- | --- | --- |
| 18.99 | 4.672 | 43 |
| 29.60 | 3.018 | 100 |
| 30.80 | 2.903 | 12 |
| 34.36 | 2.610 | 15 |
| 39.55 | 2.279 | 12 |
| 49.28 | 1.849 | 33 |
| 49.38 | 1.846 | 15 |
| 58.45 | 1.579 | 14 |
| 58.64 | 1.574 | 25 |
| 79.97 | 1.200 | 9 |

(2)
Theoretical X-ray diffraction stick pattern of NaCeTiNbO6F for Cu Kα, 1.54184 Å, from a cell relaxed with PBE.

Atomic structure:
Lattice parameters (Å, degrees): 7.3678 7.3678 7.3678 121.24 117.95 90.73
Fractional coordinates of all 22 atoms:
1 Na 0.5000 0.0000 0.0000
2 Na 0.5000 0.5000 0.5000
3 Ce 0.0000 0.0000 0.0000
4 Ce 0.5000 0.0000 0.5000
5 Ti 0.0000 0.0000 0.5000
6 Ti 0.0000 0.5000 0.0000
7 Nb 0.0000 0.5000 0.5000
8 Nb 0.5000 0.5000 0.0000
9 O 0.0628 0.4163 0.2340
10 O 0.0628 0.8288 0.6465
11 O 0.0779 0.8279 0.2500
12 O 0.3167 0.5667 0.7500
13 O 0.3177 0.1712 0.7340
14 O 0.3177 0.5837 0.1465
15 O 0.6823 0.4163 0.8535
16 O 0.6823 0.8288 0.2660
17 O 0.6833 0.4333 0.2500
18 O 0.9221 0.1721 0.7500
19 O 0.9372 0.1712 0.3535
20 O 0.9372 0.5837 0.7660
21 F 0.3803 0.1303 0.2500
22 F 0.6197 0.8697 0.7500

Most intense lines, 2θ = 10–90°, by angle:
| 2θ (°) | d_spacing | I (rel.) |
| --- | --- | --- |
| 17.13 | 5.177 | 51 |
| 23.43 | 3.797 | 23 |
| 24.63 | 3.615 | 20 |
| 29.17 | 3.062 | 100 |
| 30.15 | 2.964 | 90 |
| 34.25 | 2.618 | 31 |
| 38.53 | 2.336 | 26 |
| 49.52 | 1.841 | 64 |
| 57.66 | 1.599 | 28 |
| 59.37 | 1.557 | 38 |

What is the formula in the second record?
NaCeTiNbO6F

Please write out number 2 again, unchanged.
Theoretical X-ray diffraction stick pattern of NaCeTiNbO6F for Cu Kα, 1.54184 Å, from a cell relaxed with PBE.

Atomic structure:
Lattice parameters (Å, degrees): 7.3678 7.3678 7.3678 121.24 117.95 90.73
Fractional coordinates of all 22 atoms:
1 Na 0.5000 0.0000 0.0000
2 Na 0.5000 0.5000 0.5000
3 Ce 0.0000 0.0000 0.0000
4 Ce 0.5000 0.0000 0.5000
5 Ti 0.0000 0.0000 0.5000
6 Ti 0.0000 0.5000 0.0000
7 Nb 0.0000 0.5000 0.5000
8 Nb 0.5000 0.5000 0.0000
9 O 0.0628 0.4163 0.2340
10 O 0.0628 0.8288 0.6465
11 O 0.0779 0.8279 0.2500
12 O 0.3167 0.5667 0.7500
13 O 0.3177 0.1712 0.7340
14 O 0.3177 0.5837 0.1465
15 O 0.6823 0.4163 0.8535
16 O 0.6823 0.8288 0.2660
17 O 0.6833 0.4333 0.2500
18 O 0.9221 0.1721 0.7500
19 O 0.9372 0.1712 0.3535
20 O 0.9372 0.5837 0.7660
21 F 0.3803 0.1303 0.2500
22 F 0.6197 0.8697 0.7500

Most intense lines, 2θ = 10–90°, by angle:
| 2θ (°) | d_spacing | I (rel.) |
| --- | --- | --- |
| 17.13 | 5.177 | 51 |
| 23.43 | 3.797 | 23 |
| 24.63 | 3.615 | 20 |
| 29.17 | 3.062 | 100 |
| 30.15 | 2.964 | 90 |
| 34.25 | 2.618 | 31 |
| 38.53 | 2.336 | 26 |
| 49.52 | 1.841 | 64 |
| 57.66 | 1.599 | 28 |
| 59.37 | 1.557 | 38 |